Simulated powder XRD pattern
Compound: PmPr3Cd4
Radiation: Cu Kα, 1.54184 Å
Structure: a DFT-relaxed cell (GGA-PBE, Alexandria)

Peak list (10 most intense, 10° ≤ 2θ ≤ 90°, by angle)
h k l, Position (°2θ), I (rel.)
2 2 1, 32.7, 100
4 0 0, 32.8, 49
0 4 0, 46.7, 9
4 0 2, 47.1, 18
4 4 0, 58.2, 19
6 2 1, 58.5, 37
4 4 2, 68.5, 11
2 6 1, 77.7, 8
8 0 2, 78.3, 16
8 4 0, 87.3, 6

Structure:
```
data_PmPr3Cd4
_cell_length_a 10.918
_cell_length_b 7.783
_cell_length_c 5.460
_cell_angle_alpha 90.00
_cell_angle_beta 90.00
_cell_angle_gamma 90.00
_space_group_name_H-M_alt 'P m m a'
_space_group_IT_number 51
loop_
_space_group_symop_operation_xyz
'x,y,z'
'-x,-y,-z'
'-x+1/2,-y,z'
'x+1/2,y,-z'
'x+1/2,-y,-z'
'-x+1/2,y,z'
'-x,y,-z'
'x,-y,z'
loop_
_atom_site_label
_atom_site_fract_x
_atom_site_fract_y
_atom_site_fract_z
Pm1 0.000 0.000 0.000
Pr1 0.000 0.500 0.000
Pr2 0.250 0.000 0.499
Pr3 0.250 0.500 0.499
Cd1 0.000 0.247 0.500
Cd2 0.250 0.247 0.999
```